1.
Calculated powder X-ray diffraction pattern of Li4Mn5FeO12 for λ = 1.5418 Å (Cu Kα), from a cell relaxed with GGA+U.
Kinematic intensities with the Lorentz-polarization factor, no thermal factor.

The 10 most intense peaks (5° ≤ 2θ ≤ 70°), by intensity:
| Position (°2θ) | d (Å) | intensity |
| --- | --- | --- |
| 17.24 | 5.142 | 100.0 |
| 43.92 | 2.062 | 32.1 |
| 35.88 | 2.503 | 27.8 |
| 57.28 | 1.608 | 17.7 |
| 38.82 | 2.320 | 15.8 |
| 62.72 | 1.481 | 15.7 |
| 49.89 | 1.828 | 13.0 |
| 39.06 | 2.306 | 7.9 |
| 34.51 | 2.599 | 7.8 |
| 65.36 | 1.428 | 5.5 |

Cell and atoms:
Unit cell a=5.198 b=8.917 c=10.285 alpha=90.00 beta=90.06 gamma=90.00
Space group C2/m (No. 12)
Inequivalent atoms, fractional coordinates:
Li 0.096 0.249 0.251 (multiplicity 8)
Mn 0.000 0.000 0.000 (multiplicity 2)
Mn 0.000 0.163 0.500 (multiplicity 4)
Mn 0.000 0.336 0.000 (multiplicity 4)
Fe 0.000 0.500 0.500 (multiplicity 2)
O 0.156 0.323 0.606 (multiplicity 8)
O 0.161 0.182 0.893 (multiplicity 8)
O 0.162 0.000 0.596 (multiplicity 4)
O 0.174 0.500 0.908 (multiplicity 4)

---

2.
Calculated powder X-ray diffraction pattern of Li2MnFe3O8 for λ = 1.5418 Å (Cu Kα), from a cell relaxed with GGA+U.
Kinematic intensities with the Lorentz-polarization factor, no thermal factor.

The 8 most intense peaks (5° ≤ 2θ ≤ 70°), by intensity:
| Position (°2θ) | d (Å) | intensity |
| --- | --- | --- |
| 18.25 | 4.861 | 100.0 |
| 42.97 | 2.105 | 56.0 |
| 35.36 | 2.539 | 47.9 |
| 62.39 | 1.488 | 33.5 |
| 56.82 | 1.620 | 20.5 |
| 65.59 | 1.423 | 14.1 |
| 36.98 | 2.431 | 11.5 |
| 47.04 | 1.932 | 10.7 |

Cell and atoms:
Unit cell a=8.420 b=8.420 c=8.420 alpha=90.00 beta=90.00 gamma=90.00
Space group P4_332 (No. 212)
Inequivalent atoms, fractional coordinates:
Li 0.001 0.001 0.001 (multiplicity 8)
Mn 0.125 0.875 0.375 (multiplicity 4)
Fe 0.124 0.625 0.126 (multiplicity 12)
O 0.105 0.386 0.116 (multiplicity 24)
O 0.113 0.613 0.887 (multiplicity 8)

---

3.
Calculated powder X-ray diffraction pattern of Li4Mn3FeP4O16 for λ = 1.5418 Å (Cu Kα), from a cell relaxed with GGA+U.
Kinematic intensities with the Lorentz-polarization factor, no thermal factor.

The 10 most intense peaks (5° ≤ 2θ ≤ 70°), by intensity:
| Position (°2θ) | d (Å) | intensity |
| --- | --- | --- |
| 34.92 | 2.570 | 100.0 |
| 25.07 | 3.551 | 80.8 |
| 29.05 | 3.074 | 78.4 |
| 20.41 | 4.352 | 57.3 |
| 51.45 | 1.776 | 38.1 |
| 35.75 | 2.511 | 30.7 |
| 16.85 | 5.263 | 26.1 |
| 31.63 | 2.828 | 25.8 |
| 37.17 | 2.419 | 21.4 |
| 22.23 | 3.999 | 19.4 |

Cell and atoms:
Unit cell a=4.780 b=6.150 c=10.525 alpha=90.00 beta=90.06 gamma=90.00
Space group Pm (No. 6)
Inequivalent atoms, fractional coordinates:
Li 0.000 0.249 0.000 (multiplicity 2)
Li 0.500 0.250 0.500 (multiplicity 2)
Mn 0.028 0.500 0.719 (multiplicity 1)
Mn 0.471 0.500 0.219 (multiplicity 1)
Mn 0.972 0.000 0.282 (multiplicity 1)
Fe 0.530 0.000 0.782 (multiplicity 1)
P 0.090 0.000 0.594 (multiplicity 1)
P 0.411 0.000 0.092 (multiplicity 1)
P 0.588 0.500 0.907 (multiplicity 1)
P 0.910 0.500 0.408 (multiplicity 1)
O 0.211 0.000 0.456 (multiplicity 1)
O 0.226 0.201 0.663 (multiplicity 2)
O 0.231 0.500 0.404 (multiplicity 1)
O 0.267 0.500 0.904 (multiplicity 1)
O 0.276 0.201 0.161 (multiplicity 2)
O 0.290 0.000 0.954 (multiplicity 1)
O 0.713 0.500 0.044 (multiplicity 1)
O 0.719 0.297 0.838 (multiplicity 2)
O 0.732 0.000 0.096 (multiplicity 1)
O 0.769 0.000 0.597 (multiplicity 1)
O 0.776 0.299 0.339 (multiplicity 2)
O 0.788 0.500 0.545 (multiplicity 1)

---

4.
Calculated powder X-ray diffraction pattern of Li8MnFe7P8O32 for λ = 1.5418 Å (Cu Kα), from a cell relaxed with GGA+U.
Kinematic intensities with the Lorentz-polarization factor, no thermal factor.

The 10 most intense peaks (5° ≤ 2θ ≤ 70°), by intensity:
| Position (°2θ) | d (Å) | intensity |
| --- | --- | --- |
| 35.16 | 2.553 | 100.0 |
| 25.25 | 3.527 | 89.6 |
| 29.33 | 3.045 | 76.2 |
| 20.51 | 4.329 | 59.5 |
| 51.82 | 1.764 | 35.8 |
| 16.96 | 5.229 | 31.9 |
| 36.06 | 2.491 | 29.8 |
| 31.83 | 2.812 | 28.8 |
| 55.86 | 1.646 | 23.8 |
| 37.43 | 2.403 | 21.2 |

Cell and atoms:
Unit cell a=4.756 b=12.180 c=10.458 alpha=90.00 beta=90.03 gamma=90.00
Space group Pm (No. 6)
Inequivalent atoms, fractional coordinates:
Li 0.000 0.125 0.000 (multiplicity 2)
Li 0.000 0.374 0.000 (multiplicity 2)
Li 0.500 0.125 0.500 (multiplicity 2)
Li 0.500 0.375 0.499 (multiplicity 2)
Mn 0.476 0.500 0.781 (multiplicity 1)
Fe 0.026 0.000 0.281 (multiplicity 1)
Fe 0.026 0.500 0.281 (multiplicity 1)
Fe 0.473 0.000 0.782 (multiplicity 1)
Fe 0.526 0.250 0.218 (multiplicity 2)
Fe 0.974 0.249 0.718 (multiplicity 2)
P 0.082 0.250 0.405 (multiplicity 2)
P 0.416 0.249 0.906 (multiplicity 2)
P 0.582 0.000 0.094 (multiplicity 1)
P 0.583 0.500 0.095 (multiplicity 1)
P 0.917 0.000 0.594 (multiplicity 1)
P 0.918 0.500 0.592 (multiplicity 1)
O 0.207 0.250 0.543 (multiplicity 2)
O 0.216 0.148 0.335 (multiplicity 2)
O 0.216 0.352 0.335 (multiplicity 2)
O 0.240 0.000 0.597 (multiplicity 1)
O 0.241 0.500 0.595 (multiplicity 1)
O 0.260 0.000 0.097 (multiplicity 1)
O 0.260 0.500 0.097 (multiplicity 1)
O 0.277 0.350 0.835 (multiplicity 2)
O 0.283 0.147 0.835 (multiplicity 2)
O 0.293 0.249 0.044 (multiplicity 2)
O 0.707 0.000 0.957 (multiplicity 1)
O 0.710 0.500 0.958 (multiplicity 1)
O 0.716 0.102 0.165 (multiplicity 2)
O 0.716 0.398 0.166 (multiplicity 2)
O 0.738 0.250 0.903 (multiplicity 2)
O 0.760 0.250 0.403 (multiplicity 2)
O 0.783 0.102 0.665 (multiplicity 2)
O 0.787 0.398 0.663 (multiplicity 2)
O 0.791 0.500 0.455 (multiplicity 1)
O 0.793 0.000 0.457 (multiplicity 1)

---

5.
Calculated powder X-ray diffraction pattern of Li7Mn2Fe6P8O32 for λ = 1.5418 Å (Cu Kα), from a cell relaxed with GGA+U.
Kinematic intensities with the Lorentz-polarization factor, no thermal factor.

The 10 most intense peaks (5° ≤ 2θ ≤ 70°), by intensity:
| Position (°2θ) | d (Å) | intensity |
| --- | --- | --- |
| 29.30 | 3.049 | 100.0 |
| 25.13 | 3.543 | 80.8 |
| 35.08 | 2.558 | 75.0 |
| 17.04 | 5.202 | 49.2 |
| 20.49 | 4.334 | 47.5 |
| 20.38 | 4.359 | 43.5 |
| 25.24 | 3.529 | 37.2 |
| 35.33 | 2.541 | 34.5 |
| 35.27 | 2.545 | 34.4 |
| 37.60 | 2.392 | 28.5 |

Cell and atoms:
Unit cell a=7.738 b=7.762 c=10.405 alpha=90.25 beta=90.29 gamma=103.77
Space group P1 (No. 1)
Inequivalent atoms, fractional coordinates:
Li 0.000 0.000 0.000 (multiplicity 1)
Li 0.003 0.501 0.510 (multiplicity 1)
Li 0.252 0.755 0.999 (multiplicity 1)
Li 0.490 0.010 0.504 (multiplicity 1)
Li 0.501 0.507 0.999 (multiplicity 1)
Li 0.745 0.255 0.000 (multiplicity 1)
Li 0.750 0.751 0.505 (multiplicity 1)
Mn 0.138 0.893 0.287 (multiplicity 1)
Mn 0.635 0.391 0.287 (multiplicity 1)
Fe 0.133 0.385 0.229 (multiplicity 1)
Fe 0.360 0.612 0.721 (multiplicity 1)
Fe 0.361 0.119 0.779 (multiplicity 1)
Fe 0.641 0.895 0.221 (multiplicity 1)
Fe 0.861 0.615 0.782 (multiplicity 1)
Fe 0.862 0.118 0.721 (multiplicity 1)
P 0.085 0.340 0.913 (multiplicity 1)
P 0.085 0.836 0.600 (multiplicity 1)
P 0.411 0.170 0.094 (multiplicity 1)
P 0.418 0.675 0.404 (multiplicity 1)
P 0.583 0.338 0.598 (multiplicity 1)
P 0.584 0.840 0.910 (multiplicity 1)
P 0.916 0.664 0.095 (multiplicity 1)
P 0.921 0.174 0.410 (multiplicity 1)
O 0.021 0.775 0.461 (multiplicity 1)
O 0.027 0.282 0.055 (multiplicity 1)
O 0.082 0.621 0.167 (multiplicity 1)
O 0.084 0.146 0.328 (multiplicity 1)
O 0.114 0.664 0.669 (multiplicity 1)
O 0.116 0.170 0.845 (multiplicity 1)
O 0.246 0.500 0.910 (multiplicity 1)
O 0.249 0.989 0.604 (multiplicity 1)
O 0.252 0.008 0.095 (multiplicity 1)
O 0.254 0.519 0.386 (multiplicity 1)
O 0.368 0.336 0.166 (multiplicity 1)
O 0.390 0.848 0.338 (multiplicity 1)
O 0.416 0.875 0.839 (multiplicity 1)
O 0.424 0.376 0.676 (multiplicity 1)
O 0.471 0.725 0.545 (multiplicity 1)
O 0.476 0.236 0.959 (multiplicity 1)
O 0.522 0.777 0.048 (multiplicity 1)
O 0.530 0.276 0.460 (multiplicity 1)
O 0.578 0.138 0.168 (multiplicity 1)
O 0.589 0.642 0.337 (multiplicity 1)
O 0.620 0.170 0.669 (multiplicity 1)
O 0.620 0.673 0.839 (multiplicity 1)
O 0.746 0.001 0.910 (multiplicity 1)
O 0.746 0.500 0.600 (multiplicity 1)
O 0.753 0.507 0.096 (multiplicity 1)
O 0.761 0.013 0.402 (multiplicity 1)
O 0.884 0.831 0.169 (multiplicity 1)
O 0.894 0.345 0.335 (multiplicity 1)
O 0.915 0.373 0.845 (multiplicity 1)
O 0.917 0.874 0.670 (multiplicity 1)
O 0.972 0.234 0.548 (multiplicity 1)
O 0.981 0.730 0.959 (multiplicity 1)